# 1
The following is a theoretical X-ray diffraction stick pattern of PrB12Pb. It was derived from a cell relaxed with PBE, using copper Kα.

Atomic structure:
Cell lengths 5.9150, 5.9150, 5.9150 Å; angles 60.00, 60.00, 60.00 degrees
Atoms (fractional coordinates):
Pr 0.0000 0.0000 0.0000
B 0.1005 0.1005 0.3995
B 0.1005 0.3995 0.1005
B 0.1005 0.3995 0.3995
B 0.3995 0.1005 0.1005
B 0.3995 0.1005 0.3995
B 0.3995 0.3995 0.1005
B 0.6005 0.6005 0.8995
B 0.6005 0.8995 0.6005
B 0.6005 0.8995 0.8995
B 0.8995 0.6005 0.6005
B 0.8995 0.6005 0.8995
B 0.8995 0.8995 0.6005
Pb 0.5000 0.5000 0.5000

Most intense lines, 15° ≤ 2θ ≤ 90°, most intense first:
2θ (°)	d_spacing	I/Imax
30.22	2.958	100
21.24	4.183	71
48.68	1.871	51
37.23	2.415	42
53.68	1.708	30
67.14	1.394	28
43.26	2.091	21
71.30	1.323	20
87.21	1.118	19
75.37	1.261	14



# 2
The following is a theoretical X-ray diffraction stick pattern of Cs3CuF5. It was derived from a cell relaxed with PBE, using copper Kα.

Atomic structure:
Cell lengths 7.9550, 7.9550, 6.7000 Å; angles 90.00, 90.00, 90.00 degrees
Atoms (fractional coordinates):
Cs 0.0000 0.0000 0.0000
Cs 0.1791 0.3209 0.5000
Cs 0.3209 0.8209 0.5000
Cs 0.5000 0.5000 0.0000
Cs 0.6791 0.1791 0.5000
Cs 0.8209 0.6791 0.5000
Cu 0.0000 0.5000 0.0000
Cu 0.5000 0.0000 0.0000
F 0.0000 0.0000 0.5000
F 0.1210 0.6210 0.1979
F 0.1210 0.6210 0.8021
F 0.3790 0.1210 0.1979
F 0.3790 0.1210 0.8021
F 0.5000 0.5000 0.5000
F 0.6210 0.8790 0.1979
F 0.6210 0.8790 0.8021
F 0.8790 0.3790 0.1979
F 0.8790 0.3790 0.8021

Most intense lines, 15° ≤ 2θ ≤ 90°, most intense first:
2θ (°)	d_spacing	I/Imax
26.05	3.420	100
28.41	3.142	55
26.61	3.350	34
36.85	2.439	34
31.82	2.813	26
41.94	2.154	24
46.64	1.947	20
35.69	2.516	19
49.14	1.854	15
25.03	3.558	15



# 3
The following is a theoretical X-ray diffraction stick pattern of Pr6AgAu2. It was derived from a cell relaxed with PBE, using copper Kα.

Atomic structure:
Cell lengths 6.6612, 8.0376, 12.4070 Å; angles 90.00, 122.12, 90.00 degrees
Atoms (fractional coordinates):
Pr 0.0662 0.0642 0.2357
Pr 0.0662 0.4358 0.7357
Pr 0.2137 0.7118 0.0737
Pr 0.2137 0.7882 0.5737
Pr 0.3867 0.1518 0.0553
Pr 0.3867 0.3482 0.5553
Pr 0.6133 0.6518 0.4447
Pr 0.6133 0.8482 0.9447
Pr 0.7863 0.2118 0.4263
Pr 0.7863 0.2882 0.9263
Pr 0.9338 0.5642 0.2643
Pr 0.9338 0.9358 0.7643
Ag 0.5000 0.0000 0.5000
Ag 0.5000 0.5000 0.0000
Au 0.3082 0.1098 0.7283
Au 0.3082 0.3902 0.2283
Au 0.6918 0.6098 0.7717
Au 0.6918 0.8902 0.2717

Most intense lines, 15° ≤ 2θ ≤ 90°, most intense first:
2θ (°)	d_spacing	I/Imax
30.30	2.950	100
31.00	2.885	77
31.11	2.874	63
28.72	3.108	55
37.15	2.420	45
27.30	3.267	38
36.13	2.486	34
30.84	2.899	32
36.01	2.494	29
33.95	2.641	28



# 4
The following is a theoretical X-ray diffraction stick pattern of ErTh3Sc12. It was derived from a cell relaxed with PBE, using copper Kα.

Atomic structure:
Cell lengths 4.7182, 4.7182, 18.8517 Å; angles 90.00, 90.00, 90.00 degrees
Atoms (fractional coordinates):
Er 0.0000 0.0000 0.0000
Th 0.0000 0.0000 0.2500
Th 0.0000 0.0000 0.5000
Th 0.0000 0.0000 0.7500
Sc 0.0000 0.5000 0.1256
Sc 0.0000 0.5000 0.3750
Sc 0.0000 0.5000 0.6250
Sc 0.0000 0.5000 0.8744
Sc 0.5000 0.0000 0.1256
Sc 0.5000 0.0000 0.3750
Sc 0.5000 0.0000 0.6250
Sc 0.5000 0.0000 0.8744
Sc 0.5000 0.5000 0.0000
Sc 0.5000 0.5000 0.2496
Sc 0.5000 0.5000 0.5000
Sc 0.5000 0.5000 0.7504

Most intense lines, 15° ≤ 2θ ≤ 90°, most intense first:
2θ (°)	d_spacing	I/Imax
32.89	2.723	100
18.81	4.716	64
26.73	3.335	57
38.16	2.358	50
65.66	1.422	39
42.88	2.109	34
55.07	1.668	33
47.20	1.925	26
58.73	1.572	18
75.41	1.261	14



# 5
The following is a theoretical X-ray diffraction stick pattern of PS2F5. It was derived from a cell relaxed with PBE, using copper Kα.

Atomic structure:
Cell lengths 3.9670, 6.4242, 6.8084 Å; angles 87.83, 76.04, 80.69 degrees
Atoms (fractional coordinates):
P 0.0000 0.0000 0.0000
S 0.1640 0.4528 0.4319
S 0.6720 0.5430 0.5662
F 0.0241 0.0047 0.7637
F 0.3921 0.9997 0.9999
F 0.8316 0.9954 0.2364
F 0.8643 0.2469 0.0049
F 0.9962 0.7533 0.9952

Most intense lines, 15° ≤ 2θ ≤ 90°, most intense first:
2θ (°)	d_spacing	I/Imax
19.40	4.575	100
25.98	3.430	16
28.15	3.170	16
23.40	3.802	16
26.99	3.304	15
31.33	2.855	9
46.45	1.955	8
45.04	2.013	6
49.23	1.851	6
47.74	1.905	5



# 6
The following is a theoretical X-ray diffraction stick pattern of Ce6In2CoRu. It was derived from a cell relaxed with PBE, using copper Kα.

Atomic structure:
Cell lengths 7.3964, 7.3964, 7.3964 Å; angles 120.23, 120.23, 89.60 degrees
Atoms (fractional coordinates):
Ce 0.0000 0.0000 0.0000
Ce 0.4879 0.4879 0.4885
Ce 0.4879 0.9994 0.0000
Ce 0.4930 0.4930 0.0000
Ce 0.9994 0.4879 0.0000
Ce 0.9994 0.9994 0.5115
In 0.4956 0.9956 0.5000
In 0.9956 0.4956 0.5000
Co 0.2421 0.2421 0.0000
Ru 0.7578 0.7578 0.0000

Most intense lines, 15° ≤ 2θ ≤ 90°, most intense first:
2θ (°)	d_spacing	I/Imax
29.62	3.016	100
34.41	2.606	63
49.28	1.849	44
34.17	2.624	32
58.72	1.572	28
61.49	1.508	22
49.46	1.843	22
58.39	1.580	15
79.98	1.200	12
17.01	5.212	11



# 7
The following is a theoretical X-ray diffraction stick pattern of Cr2Mo4W. It was derived from a cell relaxed with PBE, using copper Kα.

Atomic structure:
Cell lengths 10.7489, 10.7489, 3.1212 Å; angles 90.00, 90.00, 162.99 degrees
Atoms (fractional coordinates):
Cr 0.2125 0.7875 0.0000
Cr 0.7875 0.2125 0.0000
Mo 0.0744 0.9256 0.0000
Mo 0.3489 0.6511 0.5000
Mo 0.6511 0.3489 0.5000
Mo 0.9256 0.0744 0.0000
W 0.5000 0.5000 0.5000

Most intense lines, 15° ≤ 2θ ≤ 90°, most intense first:
2θ (°)	d_spacing	I/Imax
40.73	2.215	100
41.10	2.196	88
38.43	2.342	72
74.60	1.272	29
44.79	2.023	28
71.57	1.318	25
71.75	1.316	22
58.01	1.590	16
35.24	2.547	15
59.21	1.561	15



# 8
The following is a theoretical X-ray diffraction stick pattern of TlGaBi3. It was derived from a cell relaxed with PBE, using copper Kα.

Atomic structure:
Cell lengths 5.5829, 5.5829, 5.5829 Å; angles 90.00, 90.00, 90.00 degrees
Atoms (fractional coordinates):
Tl 0.0000 0.0000 0.0000
Ga 0.5000 0.5000 0.5000
Bi 0.0000 0.5000 0.5000
Bi 0.5000 0.0000 0.5000
Bi 0.5000 0.5000 0.0000

Most intense lines, 15° ≤ 2θ ≤ 90°, most intense first:
2θ (°)	d_spacing	I/Imax
27.68	3.223	100
32.06	2.791	74
45.98	1.974	56
54.51	1.683	48
76.27	1.248	26
85.14	1.140	20
74.01	1.281	20
57.15	1.612	20
67.06	1.396	9
15.87	5.583	3



# 9
The following is a theoretical X-ray diffraction stick pattern of Ho2Er7Tm4. It was derived from a cell relaxed with PBE, using copper Kα.

Atomic structure:
Cell lengths 5.9731, 5.9731, 13.0809 Å; angles 90.00, 90.00, 120.00 degrees
Atoms (fractional coordinates):
Ho 0.3333 0.6667 0.0000
Ho 0.6667 0.3333 0.0000
Er 0.0000 0.0000 0.0000
Er 0.0000 0.3540 0.2158
Er 0.0000 0.6460 0.7842
Er 0.3540 0.0000 0.2158
Er 0.3540 0.3540 0.7842
Er 0.6460 0.0000 0.7842
Er 0.6460 0.6460 0.2158
Tm 0.0000 0.0000 0.3942
Tm 0.0000 0.0000 0.6058
Tm 0.3333 0.6667 0.5000
Tm 0.6667 0.3333 0.5000

Most intense lines, 15° ≤ 2θ ≤ 90°, most intense first:
2θ (°)	d_spacing	I/Imax
32.97	2.717	100
30.71	2.912	45
36.47	2.464	31
53.12	1.724	30
27.27	3.270	19
51.93	1.761	17
63.95	1.456	17
29.92	2.987	15
34.28	2.616	14
32.39	2.764	14



# 10
The following is a theoretical X-ray diffraction stick pattern of Er4CuNi2. It was derived from a cell relaxed with PBE, using copper Kα.

Atomic structure:
Cell lengths 7.5290, 7.5290, 7.5290 Å; angles 109.38, 109.38, 109.65 degrees
Atoms (fractional coordinates):
Er 0.2013 0.2609 0.5596
Er 0.2013 0.6417 0.9404
Er 0.2609 0.2013 0.0596
Er 0.3583 0.7987 0.5596
Er 0.6417 0.2013 0.4404
Er 0.7391 0.7987 0.9404
Er 0.7987 0.3583 0.0596
Er 0.7987 0.7391 0.4404
Cu 0.1250 0.8750 0.2500
Cu 0.8750 0.1250 0.7500
Ni 0.0000 0.5000 0.5000
Ni 0.5000 0.0000 0.0000
Ni 0.5000 0.5000 0.0000
Ni 0.5000 0.5000 0.5000

Most intense lines, 15° ≤ 2θ ≤ 90°, most intense first:
2θ (°)	d_spacing	I/Imax
29.04	3.075	100
32.60	2.747	95
38.74	2.325	54
49.15	1.854	42
53.83	1.703	25
41.50	2.176	22
77.64	1.230	22
53.73	1.706	19
62.26	1.491	14
73.87	1.283	14



# 11
The following is a theoretical X-ray diffraction stick pattern of Pb5Cl. It was derived from a cell relaxed with PBE, using copper Kα.

Atomic structure:
Cell lengths 3.6170, 3.6170, 13.8738 Å; angles 90.00, 90.00, 90.00 degrees
Atoms (fractional coordinates):
Pb 0.0000 0.0000 0.0000
Pb 0.0000 0.0000 0.3452
Pb 0.0000 0.0000 0.6548
Pb 0.5000 0.5000 0.1758
Pb 0.5000 0.5000 0.8242
Cl 0.5000 0.5000 0.5000

Most intense lines, 15° ≤ 2θ ≤ 90°, most intense first:
2θ (°)	d_spacing	I/Imax
31.40	2.849	100
35.09	2.558	39
60.65	1.527	32
53.42	1.715	21
50.46	1.808	14
38.95	2.312	13
65.53	1.425	11
65.86	1.418	10
87.39	1.116	10
27.82	3.207	9